Calculated powder XRD pattern
Compound: BaHgCl4
Radiation: CuKα
Structure: a cell relaxed with PBE
Peak positions follow from Bragg's law for the DFT cell and can differ from measured ones.

Most intense lines, 5 to 70 degrees two-theta, by angle:
d = 4.955 Å, intensity 100, hkl 2 0 0; d = 3.972 Å, intensity 18, hkl 2 1 1; d = 3.772 Å, intensity 64, hkl 1 1 2; d = 3.504 Å, intensity 18, hkl 2 2 0; d = 2.567 Å, intensity 80, hkl 3 1 2; d = 2.477 Å, intensity 26, hkl 4 0 0; d = 2.216 Å, intensity 15, hkl 4 2 0; d = 2.071 Å, intensity 31, hkl 3 3 2; d = 2.040 Å, intensity 18, hkl 2 0 4; d = 1.589 Å, intensity 16, hkl 5 3 2

Structural model:
```
data_BaHgCl4
_cell_length_a 9.911
_cell_length_b 9.911
_cell_length_c 8.952
_cell_angle_alpha 90.00
_cell_angle_beta 90.00
_cell_angle_gamma 90.00
_space_group_name_H-M_alt 'I 41/a m d'
_space_group_IT_number 141
loop_
_space_group_symop_operation_xyz
'x,y,z'
'-x,-y,-z'
'-y+1/4,x+3/4,z+1/4'
'y+1/4,-x+3/4,-z+1/4'
'-x+1/2,-y,z+1/2'
'x+1/2,y,-z+1/2'
'y+1/4,-x+1/4,z+3/4'
'-y+1/4,x+1/4,-z+3/4'
'x,-y,-z'
'-x,y,z'
'-y+1/4,-x+1/4,-z+3/4'
'y+1/4,x+1/4,z+3/4'
'-x+1/2,y,-z+1/2'
'x+1/2,-y,z+1/2'
'y+1/4,x+3/4,-z+1/4'
'-y+1/4,-x+3/4,z+1/4'
'x+1/2,y+1/2,z+1/2'
'-x+1/2,-y+1/2,-z+1/2'
'-y+3/4,x+1/4,z+3/4'
'y+3/4,-x+1/4,-z+3/4'
'-x,-y+1/2,z'
'x,y+1/2,-z'
'y+3/4,-x+3/4,z+1/4'
'-y+3/4,x+3/4,-z+1/4'
'x+1/2,-y+1/2,-z+1/2'
'-x+1/2,y+1/2,z+1/2'
'-y+3/4,-x+3/4,-z+1/4'
'y+3/4,x+3/4,z+1/4'
'-x,y+1/2,-z'
'x,-y+1/2,z'
'y+3/4,x+1/4,-z+3/4'
'-y+3/4,-x+1/4,z+3/4'
loop_
_atom_site_label
_atom_site_fract_x
_atom_site_fract_y
_atom_site_fract_z
_atom_site_occupancy
Ba1 0.000 0.250 0.375 1
Hg1 0.000 0.250 0.875 1
Cl1 0.000 0.068 0.675 1
```

***

Calculated powder XRD pattern
Compound: Y3Sc4
Radiation: CuKα
Structure: a cell relaxed with PBE
Peak positions follow from Bragg's law for the DFT cell and can differ from measured ones.

Most intense lines, 5 to 70 degrees two-theta, by angle:
d = 3.478 Å, intensity 21, hkl 1 0 3; d = 2.816 Å, intensity 8, hkl 0 0 10; d = 2.741 Å, intensity 100, hkl 1 0 7; d = 2.647 Å, intensity 51, hkl 1 1 0; d = 1.929 Å, intensity 10, hkl 1 1 10; d = 1.872 Å, intensity 19, hkl 2 0 0; d = 1.602 Å, intensity 12, hkl 1 1 14; d = 1.546 Å, intensity 32, hkl 2 1 7; d = 1.515 Å, intensity 7, hkl 1 0 17; d = 1.370 Å, intensity 7, hkl 2 0 14

Structural model:
```
data_Y3Sc4
_cell_length_a 3.744
_cell_length_b 3.744
_cell_length_c 28.161
_cell_angle_alpha 90.00
_cell_angle_beta 90.00
_cell_angle_gamma 90.00
_space_group_name_H-M_alt 'I 4/m m m'
_space_group_IT_number 139
_space_group_name_Hall '-I 4 2'
loop_
_atom_site_label
_atom_site_fract_x
_atom_site_fract_y
_atom_site_fract_z
_atom_site_occupancy
Y1 0.000 0.000 0.000 1
Y2 0.000 0.000 0.295 1
Sc1 0.000 0.000 0.132 1
Sc2 0.000 0.000 0.425 1
```

***

What did the first record say?
Calculated powder XRD pattern
Compound: BaHgCl4
Radiation: CuKα
Structure: a cell relaxed with PBE
Peak positions follow from Bragg's law for the DFT cell and can differ from measured ones.

Most intense lines, 5 to 70 degrees two-theta, by angle:
d = 4.955 Å, intensity 100, hkl 2 0 0; d = 3.972 Å, intensity 18, hkl 2 1 1; d = 3.772 Å, intensity 64, hkl 1 1 2; d = 3.504 Å, intensity 18, hkl 2 2 0; d = 2.567 Å, intensity 80, hkl 3 1 2; d = 2.477 Å, intensity 26, hkl 4 0 0; d = 2.216 Å, intensity 15, hkl 4 2 0; d = 2.071 Å, intensity 31, hkl 3 3 2; d = 2.040 Å, intensity 18, hkl 2 0 4; d = 1.589 Å, intensity 16, hkl 5 3 2

Structural model:
```
data_BaHgCl4
_cell_length_a 9.911
_cell_length_b 9.911
_cell_length_c 8.952
_cell_angle_alpha 90.00
_cell_angle_beta 90.00
_cell_angle_gamma 90.00
_space_group_name_H-M_alt 'I 41/a m d'
_space_group_IT_number 141
loop_
_space_group_symop_operation_xyz
'x,y,z'
'-x,-y,-z'
'-y+1/4,x+3/4,z+1/4'
'y+1/4,-x+3/4,-z+1/4'
'-x+1/2,-y,z+1/2'
'x+1/2,y,-z+1/2'
'y+1/4,-x+1/4,z+3/4'
'-y+1/4,x+1/4,-z+3/4'
'x,-y,-z'
'-x,y,z'
'-y+1/4,-x+1/4,-z+3/4'
'y+1/4,x+1/4,z+3/4'
'-x+1/2,y,-z+1/2'
'x+1/2,-y,z+1/2'
'y+1/4,x+3/4,-z+1/4'
'-y+1/4,-x+3/4,z+1/4'
'x+1/2,y+1/2,z+1/2'
'-x+1/2,-y+1/2,-z+1/2'
'-y+3/4,x+1/4,z+3/4'
'y+3/4,-x+1/4,-z+3/4'
'-x,-y+1/2,z'
'x,y+1/2,-z'
'y+3/4,-x+3/4,z+1/4'
'-y+3/4,x+3/4,-z+1/4'
'x+1/2,-y+1/2,-z+1/2'
'-x+1/2,y+1/2,z+1/2'
'-y+3/4,-x+3/4,-z+1/4'
'y+3/4,x+3/4,z+1/4'
'-x,y+1/2,-z'
'x,-y+1/2,z'
'y+3/4,x+1/4,-z+3/4'
'-y+3/4,-x+1/4,z+3/4'
loop_
_atom_site_label
_atom_site_fract_x
_atom_site_fract_y
_atom_site_fract_z
_atom_site_occupancy
Ba1 0.000 0.250 0.375 1
Hg1 0.000 0.250 0.875 1
Cl1 0.000 0.068 0.675 1
```

***

Question: Number 2 is which compound?
Answer: Y3Sc4